Computed X-ray powder pattern
Compound: YEr4Tm2Te2Pd2
Radiation: λ = 1.5418 Å (Cu Kα)
Structure: a GGA-PBE-relaxed structure
Lines closer than 0.1° are merged.

```
YEr4Tm2Te2Pd2
1.0
-1.956 7.812 4.771
1.956 -7.812 4.771
1.956 7.812 -4.771
Y Er Tm Te Pd
1 4 2 2 2
Direct
0.000 0.000 0.000
0.287 0.416 0.871
0.545 0.416 0.129
0.619 0.264 0.355
0.908 0.264 0.645
0.307 0.624 0.683
0.941 0.624 0.317
0.264 0.764 0.500
0.663 0.663 0.000
0.167 0.929 0.238
0.691 0.929 0.762
```

Main lines, in order of rising 2θ (10° ≤ 2θ ≤ 80°):
Position (°2θ), I (rel.)
28.53, 15.1
30.09, 58.8
33.00, 61.6
33.76, 100.0
34.28, 57.0
36.40, 19.6
38.24, 23.9
39.44, 17.9
46.43, 34.0
58.12, 30.6

Computed X-ray powder pattern
Compound: ZrUHg
Radiation: λ = 1.5418 Å (Cu Kα)
Structure: a GGA-PBE-relaxed structure
Lines closer than 0.1° are merged.

```
ZrUHg
1.0
0.000 3.495 3.495
3.495 0.000 3.495
3.495 3.495 0.000
Zr U Hg
1 1 1
Direct
0.000 0.000 0.000
0.500 0.500 0.500
0.750 0.750 0.750
```

Main lines, in order of rising 2θ (10° ≤ 2θ ≤ 80°):
Position (°2θ), I (rel.)
22.02, 49.1
25.48, 6.7
36.35, 100.0
42.91, 27.5
52.35, 17.8
57.46, 11.9
59.10, 2.6
65.40, 37.0
69.93, 9.1
77.20, 11.8